This entry pairs a crystal structure of LiFeBO3 with its computed X-ray diffraction stick pattern. Radiation: Cu Kα, 1.54184 Å. Structure: the PBE+U geometry in Alexandria.
Lines closer than 0.1° are merged.

Structure:
Cell lengths 8.3416, 8.3416, 3.1183 Å; angles 90.00, 90.00, 120.00 degrees
Space group P-6 (No. 174)
Unique sites:
Li 0.0121 0.3668 0.0000
Fe 0.3205 0.3074 0.5000
B 0.0000 0.0000 0.0000
B 0.3333 0.6667 0.5000
B 0.6667 0.3333 0.5000
O 0.1922 0.1092 0.0000
O 0.2180 0.4753 0.5000
O 0.5475 0.1438 0.5000

Largest 10 diffraction maxima, in order of falling intensity, 2θ = 5–70°:
h k l  two_theta  I_rel
1 1 0  21.30  100
1 1 1  35.96  73
0 0 1  28.63  43
3 0 0  37.34  40
2 2 1  52.81  37
2 2 0  43.39  27
3 0 1  47.72  25
1 0 1  31.24  21
4 1 1  66.46  19
3 1 1  54.43  14